1.
Diffraction record for Na2PtBr5. The PXRD pattern is simulated, not measured: it uses a DFT-relaxed cell (GGA-PBE, Alexandria) and CuKα.
Peak positions follow from Bragg's law for the DFT cell and can differ from measured ones.

Top 10 peaks for 5 to 70 degrees two-theta, sorted by position:
| 2θ (°) | I_rel |
| --- | --- |
| 12.9 | 51 |
| 13.7 | 41 |
| 14.6 | 53 |
| 16.9 | 34 |
| 18.3 | 100 |
| 24.3 | 34 |
| 31.6 | 60 |
| 33.3 | 86 |
| 37.5 | 33 |
| 46.5 | 66 |

```
data_Na2PtBr5
_chemical_formula_sum 'Na8 Pt4 Br20'
_space_group_name_H-M_alt 'C m c m'
_space_group_IT_number 63
_space_group_name_Hall '-C 2c 2'
_cell_length_a 5.664
_cell_length_b 13.771
_cell_length_c 12.969
_cell_angle_alpha 90.00
_cell_angle_beta 90.00
_cell_angle_gamma 90.00
loop_
_atom_site_label
_atom_site_type_symbol
_atom_site_fract_x
_atom_site_fract_y
_atom_site_fract_z
Na1 Na 0.000 0.168 0.078
Pt1 Pt 0.000 0.185 0.750
Br1 Br 0.000 0.057 0.615
Br2 Br 0.000 0.310 0.250
Br3 Br 0.000 0.313 0.612
```



2.
Diffraction record for Th2CuRuAu. The PXRD pattern is simulated, not measured: it uses a DFT-relaxed cell (GGA-PBE, Alexandria) and CuKα.
Peak positions follow from Bragg's law for the DFT cell and can differ from measured ones.

Top 10 peaks for 5 to 70 degrees two-theta, sorted by position:
| 2θ (°) | I_rel |
| --- | --- |
| 25.7 | 27 |
| 29.0 | 18 |
| 31.1 | 28 |
| 32.0 | 100 |
| 33.2 | 15 |
| 35.8 | 23 |
| 37.1 | 62 |
| 38.0 | 37 |
| 43.2 | 34 |
| 55.1 | 12 |

```
data_Th2CuRuAu
_chemical_formula_sum 'Th4 Cu2 Ru2 Au2'
_space_group_name_H-M_alt 'P 1 21/m 1'
_space_group_IT_number 11
_space_group_name_Hall '-P 2yb'
_cell_length_a 7.194
_cell_length_b 4.188
_cell_length_c 7.800
_cell_angle_alpha 90.00
_cell_angle_beta 105.37
_cell_angle_gamma 90.00
loop_
_atom_site_label
_atom_site_type_symbol
_atom_site_fract_x
_atom_site_fract_y
_atom_site_fract_z
Th1 Th 0.142 0.250 0.348
Th2 Th 0.282 0.250 0.937
Cu1 Cu 0.459 0.750 0.356
Ru1 Ru 0.141 0.750 0.098
Au1 Au 0.306 0.750 0.652
```



3.
Diffraction record for Ac2Tb5Y12. The PXRD pattern is simulated, not measured: it uses a DFT-relaxed cell (GGA-PBE, Alexandria) and CuKα.
Peak positions follow from Bragg's law for the DFT cell and can differ from measured ones.

Top 10 peaks for 5 to 70 degrees two-theta, sorted by position:
| 2θ (°) | I_rel |
| --- | --- |
| 28.5 | 29 |
| 30.4 | 67 |
| 31.1 | 100 |
| 31.6 | 33 |
| 33.6 | 60 |
| 39.5 | 17 |
| 49.3 | 15 |
| 52.8 | 34 |
| 57.6 | 35 |
| 59.0 | 18 |

```
data_Ac2Tb5Y12
_chemical_formula_sum 'Ac4 Tb10 Y24'
_space_group_name_H-M_alt 'C 1 2/m 1'
_space_group_IT_number 12
_space_group_name_Hall '-C 2y'
_cell_length_a 16.675
_cell_length_b 9.122
_cell_length_c 8.542
_cell_angle_alpha 90.00
_cell_angle_beta 91.86
_cell_angle_gamma 90.00
loop_
_atom_site_label
_atom_site_type_symbol
_atom_site_fract_x
_atom_site_fract_y
_atom_site_fract_z
Ac1 Ac 0.000 0.210 0.000
Tb1 Tb 0.000 0.000 0.500
Tb2 Tb 0.147 0.500 0.945
Tb3 Tb 0.244 0.000 0.548
Y1 Y 0.054 0.500 0.286
Y2 Y 0.110 0.293 0.610
Y3 Y 0.167 0.000 0.871
Y4 Y 0.192 0.206 0.218
```



4.
Diffraction record for PbI2. The PXRD pattern is simulated, not measured: it uses a DFT-relaxed cell (GGA-PBE, Alexandria) and CuKα.
Peak positions follow from Bragg's law for the DFT cell and can differ from measured ones.

Top 10 peaks for 5 to 70 degrees two-theta, sorted by position:
| 2θ (°) | I_rel |
| --- | --- |
| 11.7 | 57 |
| 23.4 | 22 |
| 26.0 | 100 |
| 29.6 | 20 |
| 31.0 | 21 |
| 34.0 | 20 |
| 38.7 | 48 |
| 40.5 | 48 |
| 47.2 | 20 |
| 63.4 | 23 |

```
data_PbI2
_chemical_formula_sum 'Pb6 I12'
_space_group_name_H-M_alt 'R -3 m'
_space_group_IT_number 166
_space_group_name_Hall '-R 3 2"'
_cell_length_a 4.6558
_cell_length_b 4.6558
_cell_length_c 45.3626
_cell_angle_alpha 90.00
_cell_angle_beta 90.00
_cell_angle_gamma 120.00
loop_
_atom_site_label
_atom_site_type_symbol
_atom_site_fract_x
_atom_site_fract_y
_atom_site_fract_z
Pb1 Pb 0.0000 0.0000 0.0830
I1 I 0.0000 0.0000 0.2091
I2 I 0.0000 0.0000 0.3751
```



5.
Diffraction record for Ho4TmNi2. The PXRD pattern is simulated, not measured: it uses a DFT-relaxed cell (GGA-PBE, Alexandria) and CuKα.
Peak positions follow from Bragg's law for the DFT cell and can differ from measured ones.

Top 10 peaks for 5 to 70 degrees two-theta, sorted by position:
| 2θ (°) | I_rel |
| --- | --- |
| 31.2 | 100 |
| 31.5 | 92 |
| 31.7 | 74 |
| 31.8 | 67 |
| 34.2 | 58 |
| 35.7 | 47 |
| 36.2 | 63 |
| 37.4 | 55 |
| 37.8 | 73 |
| 47.3 | 45 |

```
data_Ho4TmNi2
_chemical_formula_sum 'Ho8 Tm2 Ni4'
_space_group_name_H-M_alt 'P 1 21/m 1'
_space_group_IT_number 11
_space_group_name_Hall '-P 2yb'
_cell_length_a 7.467
_cell_length_b 6.301
_cell_length_c 7.868
_cell_angle_alpha 90.00
_cell_angle_beta 112.27
_cell_angle_gamma 90.00
loop_
_atom_site_label
_atom_site_type_symbol
_atom_site_fract_x
_atom_site_fract_y
_atom_site_fract_z
Ho1 Ho 0.027 0.250 0.387
Ho2 Ho 0.250 0.750 0.342
Ho3 Ho 0.408 0.004 0.769
Tm1 Tm 0.152 0.250 0.029
Ni1 Ni 0.252 0.750 0.994
Ni2 Ni 0.382 0.250 0.412
```